Simulated X-ray powder pattern of CsTlBr4 for Cu Kα, 1.54184 Å, from a DFT-relaxed cell (PBE, the Materials Project).
No peak broadening, texture or thermal motion is included.

```
CsTlBr4
1.0
7.0212 0.0000 0.0000
0.0000 7.9669 0.0000
0.0000 0.0000 18.4892
Cs Tl Br
4 4 16
Cartesian
0.5770 0.2304 6.7875
2.9336 7.7365 16.0321
4.0876 3.7530 11.7017
6.4442 4.2138 2.4571
0.5893 0.3018 11.6353
2.9213 7.6650 2.3907
4.0999 3.6816 6.8539
6.4319 4.2853 16.0985
0.3839 0.2600 2.8834
0.5065 2.4707 17.6166
0.5326 4.7568 13.7816
0.5939 2.5501 10.2538
2.9167 5.4167 1.0092
2.9779 3.2101 4.5370
3.0041 5.4961 8.3720
3.1267 7.7069 12.1280
3.8945 3.7235 15.6058
4.0171 1.5127 0.8726
4.0432 7.1935 4.7076
4.1045 1.4333 8.2354
6.4273 6.5336 17.4800
6.4885 0.7734 13.9522
6.5147 6.4541 10.1172
6.6373 4.2434 6.3612
```

Largest 10 diffraction maxima, by angle, 2θ from 10° to 90°:
d (Å)  I (rel.)
6.035  58
5.066  93
4.624  70
4.004  72
3.983  55
3.511  65
3.473  100
3.030  74
3.018  93
2.020  84

Simulated X-ray powder pattern of CsVBr3 for Cu Kα, 1.54184 Å, from a DFT-relaxed cell (PBE, the Materials Project).
No peak broadening, texture or thermal motion is included.

```
CsVBr3
1.0
7.7314 0.0000 0.0000
-3.8657 6.6956 0.0000
0.0000 0.0000 6.5748
Cs V Br
2 2 6
Cartesian
0.0000 4.4637 1.6437
3.8657 2.2319 4.9311
0.0000 0.0000 0.0000
0.0000 0.0000 3.2874
0.0000 2.0839 4.9311
-2.0610 5.6537 4.9311
1.8047 1.0419 1.6437
2.0610 5.6537 4.9311
5.9267 1.0419 1.6437
3.8657 4.6117 1.6437
```

Largest 10 diffraction maxima, by angle, 2θ from 10° to 90°:
d (Å)  I (rel.)
3.348  12
3.287  22
2.983  100
2.346  27
1.933  23
1.834  24
1.666  16
1.622  15
1.252  11
1.243  11

Simulated X-ray powder pattern of Cs2WBr6 for Cu Kα, 1.54184 Å, from a DFT-relaxed cell (PBE, the Materials Project).
No peak broadening, texture or thermal motion is included.

```
Cs2WBr6
1.0
0.0000 5.5694 5.5694
5.5694 0.0000 5.5694
5.5694 5.5694 0.0000
Cs W Br
2 1 6
Cartesian
2.7847 2.7847 2.7847
8.3541 8.3541 8.3541
0.0000 0.0000 0.0000
5.5694 5.5694 2.5590
5.5694 2.5590 5.5694
8.5798 5.5694 5.5694
2.5590 5.5694 5.5694
5.5694 8.5798 5.5694
5.5694 5.5694 8.5798
```

Largest 10 diffraction maxima, by angle, 2θ from 10° to 90°:
d (Å)  I (rel.)
6.431  72
3.938  48
3.358  20
3.215  74
2.785  100
2.144  23
1.969  69
1.679  27
1.608  23
1.245  27

Simulated X-ray powder pattern of CsW3Br7 for Cu Kα, 1.54184 Å, from a DFT-relaxed cell (PBE, the Materials Project).
No peak broadening, texture or thermal motion is included.

```
CsW3Br7
1.0
10.4848 0.0000 0.0000
-5.2424 9.0801 0.0000
0.0000 0.0000 15.8268
Cs W Br
4 12 28
Cartesian
0.0000 0.0000 0.0000
0.0000 0.0000 7.9134
0.0000 6.0534 3.9567
5.2424 3.0267 11.8701
-0.7781 4.7273 12.9544
-1.5375 6.0426 10.7858
0.7781 4.7273 10.7858
-0.7594 7.3903 12.9544
1.5375 6.0426 12.9544
0.7594 7.3903 10.7858
4.4830 1.6898 5.0410
3.7049 3.0375 2.8724
6.0017 1.6898 2.8724
4.4643 4.3528 5.0410
6.7799 3.0375 5.0410
6.0205 4.3528 2.8724
-1.5049 3.1348 6.4814
-3.2801 6.2094 1.4320
-1.4973 3.3674 10.7490
-3.0748 6.0997 12.9912
1.5049 3.1348 1.4320
-1.7752 8.8160 6.4814
1.4973 3.3674 12.9912
-1.5775 8.6931 10.7490
0.0000 6.0534 8.6216
0.0000 6.0534 15.1186
3.4672 0.2641 14.3948
1.9623 2.8706 9.3453
3.6649 0.3870 2.8356
2.1676 2.9804 5.0778
3.0748 6.0997 10.7490
1.5775 8.6931 12.9912
3.2801 6.2094 6.4814
1.7752 8.8160 1.4320
5.2424 3.0267 0.7082
5.2424 3.0267 7.2052
6.8199 0.3870 5.0778
3.7451 5.7127 2.8356
7.0175 0.2641 9.3453
3.7375 5.9453 14.3948
8.3172 2.9804 2.8356
6.7397 5.7127 5.0778
8.5224 2.8706 14.3948
6.7473 5.9453 9.3453
```

Largest 10 diffraction maxima, by angle, 2θ from 10° to 90°:
d (Å)  I (rel.)
7.883  100
5.966  21
3.158  14
3.027  12
2.488  16
2.273  10
2.194  11
2.185  26
2.065  9
1.938  15

Simulated X-ray powder pattern of CsW3Br7 for Cu Kα, 1.54184 Å, from a DFT-relaxed cell (PBE, the Materials Project).
No peak broadening, texture or thermal motion is included.

```
CsW3Br7
1.0
10.5431 0.0000 0.0000
-5.2715 9.1306 0.0000
0.0000 0.0000 15.9805
Cs W Br
4 12 28
Cartesian
0.0000 0.0000 0.0000
0.0000 0.0000 7.9903
0.0000 6.0870 3.8246
5.2715 3.0435 11.8149
-0.7811 4.7640 10.9111
-1.5364 6.0808 13.0756
0.7736 4.7596 13.0756
-0.7552 7.4250 10.9111
1.5363 6.0721 10.9111
0.7628 7.4207 13.0756
3.7351 3.0498 5.0854
4.5163 1.7056 2.9208
4.4905 4.3665 2.9208
6.0343 1.7098 5.0854
6.8078 3.0584 2.9208
6.0452 4.3709 5.0854
-3.3227 6.2232 6.5230
-1.5366 3.1471 1.4757
-1.5056 3.4076 13.1128
-3.0717 6.1443 10.8710
1.5434 3.1414 6.5230
-1.7777 8.8877 1.4757
1.4863 3.3983 10.8710
-1.5677 8.7306 13.1128
0.0000 6.0870 8.7463
0.0000 6.0870 15.2407
1.9488 2.9074 14.5132
3.4938 0.2428 9.4660
2.1999 2.9863 2.8807
3.7038 0.4000 5.1225
3.0732 6.1229 13.1128
1.5854 8.7186 10.8710
3.3143 6.2263 1.4757
1.7792 8.8965 6.5230
5.2715 3.0435 0.7560
5.2715 3.0435 7.2504
3.7660 5.7230 5.1225
6.8569 0.4120 2.8807
7.0508 0.2341 14.5132
3.7349 5.9834 9.4660
6.7578 5.7323 2.8807
8.3448 3.0076 5.1225
8.5859 2.9043 9.4660
6.8150 5.9891 14.5132
```

Largest 10 diffraction maxima, by angle, 2θ from 10° to 90°:
d (Å)  I (rel.)
7.939  100
6.013  21
3.184  13
3.044  12
2.502  14
2.287  9
2.215  10
2.200  24
2.077  8
1.950  17

Simulated X-ray powder pattern of Cs3YBr6 for Cu Kα, 1.54184 Å, from a DFT-relaxed cell (PBE, the Materials Project).
No peak broadening, texture or thermal motion is included.

```
Cs3YBr6
1.0
0.0000 6.2278 6.2278
6.2278 0.0000 6.2278
6.2278 6.2278 0.0000
Cs Y Br
3 1 6
Cartesian
0.0000 0.0000 0.0000
3.1139 3.1139 3.1139
9.3416 9.3416 9.3416
6.2278 6.2278 6.2278
6.2278 6.2278 3.4260
6.2278 3.4260 6.2278
9.0295 6.2278 6.2278
3.4260 6.2278 6.2278
6.2278 9.0295 6.2278
6.2278 6.2278 9.0295
```

Largest 10 diffraction maxima, by angle, 2θ from 10° to 90°:
d (Å)  I (rel.)
4.404  59
3.596  57
3.114  100
2.542  23
2.202  69
1.969  18
1.878  20
1.798  23
1.664  18
1.393  26

Simulated X-ray powder pattern of Cs3Y2Br9 for Cu Kα, 1.54184 Å, from a DFT-relaxed cell (PBE, the Materials Project).
No peak broadening, texture or thermal motion is included.

```
Cs3Y2Br9
1.0
6.9999 4.0414 6.7003
-6.9999 4.0414 6.7003
0.0000 -8.0828 6.7003
Cs Y Br
6 4 18
Cartesian
-4.6222 0.0769 8.3754
-2.3777 -3.9645 11.7255
2.2445 -4.0414 8.3754
-2.2445 4.0414 11.7255
2.3777 3.9645 8.3754
4.6222 -0.0769 11.7255
0.0000 0.0000 3.0527
0.0000 0.0000 6.9977
0.0000 0.0000 13.1032
0.0000 0.0000 17.0482
-5.8694 -1.9084 11.6172
-1.2820 -6.0372 8.4837
-2.1537 0.0000 5.0252
-1.2820 -2.0455 8.2670
1.0768 -1.8651 5.0252
-4.5874 4.1289 8.4837
1.0768 1.8651 5.0252
-1.1305 2.1330 8.2670
-2.4125 0.0875 11.8339
2.4125 -0.0875 8.2670
1.1305 -2.1330 11.8339
-1.0768 -1.8651 15.0757
4.5874 -4.1289 11.6172
-1.0768 1.8651 15.0757
1.2820 2.0456 11.8339
2.1537 0.0000 15.0757
1.2820 6.0372 11.6172
5.8694 1.9084 8.4837
```

Largest 10 diffraction maxima, by angle, 2θ from 10° to 90°:
d (Å)  I (rel.)
4.041  11
3.500  10
3.350  20
3.102  100
2.420  27
2.021  25
1.883  22
1.730  16
1.693  15
1.298  12